Diffraction record for Li2ScTeO4. The PXRD pattern is computed, not measured: it uses a crystal structure in Alexandria, relaxed with GGA-PBE and a wavelength of 1.5418 Å.

```
Li2ScTeO4
1.0
-2.2505 2.2505 4.7492
2.2505 -2.2505 4.7492
2.2505 2.2505 -4.7492
Li Sc Te O
2 1 1 4
direct
0.0000 0.0000 0.0000 Li
0.7500 0.2500 0.5000 Li
0.2500 0.7500 0.5000 Sc
0.5000 0.5000 0.0000 Te
0.0287 0.5287 0.5000 O
0.2552 0.2552 0.0000 O
0.4713 0.9713 0.5000 O
0.7448 0.7448 0.0000 O
```

Top 10 peaks for 2θ = 5–70°, low angle first:
2θ = 18.68°, I = 12
2θ = 21.85°, I = 100
2θ = 33.91°, I = 25
2θ = 34.64°, I = 26
2θ = 37.89°, I = 20
2θ = 40.06°, I = 36
2θ = 46.09°, I = 27
2θ = 53.98°, I = 14
2θ = 56.32°, I = 23
2θ = 57.95°, I = 11